La5PrSm8: calculated powder X-ray diffraction pattern (λ = 1.5418 Å (Cu Kα)), based on a crystal structure in Alexandria, relaxed with PBE.
Intensities are scaled so that the largest is 100.

Unit cell a=24.333 b=3.607 c=11.866 alpha=90.00 beta=108.93 gamma=90.00
Space group Cm (No. 8)
One atom of each set of equivalent atoms:
La: 0.000 0.000 0.000
La: 0.069 0.000 0.314
La: 0.150 0.500 0.577
La: 0.220 0.500 0.891
La: 0.360 0.000 0.945
Pr: 0.360 0.500 0.445
Sm: 0.076 0.000 0.786
Sm: 0.143 0.500 0.104
Sm: 0.221 0.000 0.393
Sm: 0.283 0.000 0.167
Sm: 0.301 0.500 0.673
Sm: 0.419 0.500 0.218
Sm: 0.436 0.000 0.724
Sm: 0.498 0.000 0.498

The 10 most intense peaks (2θ from 15° to 90°), in order of rising 2θ:
2theta	I/Imax
29.53	100
29.95	84
30.24	80
32.26	68
33.86	26
35.67	59
48.66	23
59.93	24
60.10	23
61.30	22

=====

AgPdO2: calculated powder X-ray diffraction pattern (λ = 1.5418 Å (Cu Kα)), based on a crystal structure in Alexandria, relaxed with PBE.
Intensities are scaled so that the largest is 100.

Unit cell a=3.084 b=6.369 c=11.377 alpha=90.00 beta=90.00 gamma=90.00
Space group P2_12_12_1 (No. 19)
One atom of each set of equivalent atoms:
Ag: 0.246 0.211 0.383
Pd: 0.246 0.795 0.629
O: 0.246 0.521 0.319
O: 0.246 0.890 0.428

The 10 most intense peaks (2θ from 15° to 90°), in order of rising 2θ:
2theta	I/Imax
28.02	57
29.12	19
31.45	73
33.22	100
40.26	62
42.62	42
51.96	28
52.32	23
52.98	18
62.33	19

=====

Repeat the first record exactly.
La5PrSm8: calculated powder X-ray diffraction pattern (λ = 1.5418 Å (Cu Kα)), based on a crystal structure in Alexandria, relaxed with PBE.
Intensities are scaled so that the largest is 100.

Unit cell a=24.333 b=3.607 c=11.866 alpha=90.00 beta=108.93 gamma=90.00
Space group Cm (No. 8)
One atom of each set of equivalent atoms:
La: 0.000 0.000 0.000
La: 0.069 0.000 0.314
La: 0.150 0.500 0.577
La: 0.220 0.500 0.891
La: 0.360 0.000 0.945
Pr: 0.360 0.500 0.445
Sm: 0.076 0.000 0.786
Sm: 0.143 0.500 0.104
Sm: 0.221 0.000 0.393
Sm: 0.283 0.000 0.167
Sm: 0.301 0.500 0.673
Sm: 0.419 0.500 0.218
Sm: 0.436 0.000 0.724
Sm: 0.498 0.000 0.498

The 10 most intense peaks (2θ from 15° to 90°), in order of rising 2θ:
2theta	I/Imax
29.53	100
29.95	84
30.24	80
32.26	68
33.86	26
35.67	59
48.66	23
59.93	24
60.10	23
61.30	22